No. 1
Theoretical powder diffractogram
Compound: DyAlPd
Radiation: a wavelength of 1.5418 Å
Structure: a crystal structure in the Materials Project, relaxed with PBE

Top 10 peaks for 2θ from 10° to 90°, in order of rising 2θ:
- hkl 1 1 1, 2θ 26.38, I 26
- hkl 1 1 2, 2θ 33.12, I 60
- hkl 2 1 1, 2θ 34.83, I 100
- hkl 1 0 3, 2θ 36.87, I 23
- hkl 0 1 3, 2θ 40.06, I 16
- hkl 0 2 0, 2θ 40.43, I 34
- hkl 1 1 3, 2θ 42.24, I 17
- hkl 3 0 2, 2θ 45.80, I 18
- hkl 3 2 2, 2θ 62.71, I 14
- hkl 2 3 1, 2θ 69.93, I 15

Cell and atoms:
abc: 6.895 4.462 7.819
angles: 90.00 90.00 90.00
Space group Pnma (No. 62)
Symmetry-distinct sites (fractional):
Dy 0.034 0.250 0.179
Al 0.143 0.250 0.560
Pd 0.228 0.750 0.379


No. 2
Theoretical powder diffractogram
Compound: PmDyAl2
Radiation: a wavelength of 1.5418 Å
Structure: a crystal structure in the Materials Project, relaxed with PBE

Top 10 peaks for 2θ from 10° to 90°, in order of rising 2θ:
- hkl 2 0 0, 2θ 24.43, I 60
- hkl 2 2 0, 2θ 34.82, I 100
- hkl 2 2 2, 2θ 42.99, I 18
- hkl 4 0 0, 2θ 50.06, I 18
- hkl 4 2 0, 2θ 56.46, I 25
- hkl 4 2 2, 2θ 62.42, I 37
- hkl 4 4 0, 2θ 73.50, I 11
- hkl 6 0 0, 2θ 78.79, I 12
- hkl 6 2 0, 2θ 83.98, I 16
- hkl 6 2 2, 2θ 89.12, I 7

Cell and atoms:
abc: 7.288 7.288 7.288
angles: 90.00 90.00 90.00
Space group Fm-3m (No. 225)
Symmetry-distinct sites (fractional):
Pm 0.000 0.000 0.000
Dy 0.000 0.000 0.500
Al 0.250 0.250 0.250